Starting from the GGA+U geometry in Alexandria, the powder XRD pattern of Li2CrFeO4 was calculated for Cu Ka.

```
data_Li2CrFeO4
_chemical_formula_sum 'Li6 Cr3 Fe3 O12'
_symmetry_space_group_name_H-M 'P 1'
_symmetry_Int_Tables_number 1
_cell_length_a 5.1769
_cell_length_b 5.9283
_cell_length_c 7.8370
_cell_angle_alpha 100.76
_cell_angle_beta 108.94
_cell_angle_gamma 90.01
loop_
_symmetry_equiv_pos_as_xyz
'x,y,z'
loop_
_atom_site_label
_atom_site_type_symbol
_atom_site_fract_x
_atom_site_fract_y
_atom_site_fract_z
Li1 Li 0.0003 0.0824 0.3331
Li2 Li 0.0000 0.4158 0.6667
Li3 Li 0.0000 0.5842 0.3333
Li4 Li 0.9997 0.9176 0.6669
Li5 Li 0.0017 0.7518 0.0009
Li6 Li 0.9983 0.2482 0.9991
Cr1 Cr 0.5000 0.0000 0.0000
Cr2 Cr 0.4997 0.1675 0.6679
Cr3 Cr 0.5003 0.8325 0.3321
Fe1 Fe 0.4996 0.3314 0.3335
Fe2 Fe 0.5000 0.5000 0.0000
Fe3 Fe 0.5004 0.6686 0.6665
O1 O 0.2708 0.3751 0.5060
O2 O 0.2710 0.5446 0.1723
O3 O 0.2719 0.2074 0.8381
O4 O 0.2719 0.7125 0.8390
O5 O 0.2726 0.0408 0.1700
O6 O 0.2747 0.8792 0.5039
O7 O 0.7253 0.1208 0.4961
O8 O 0.7274 0.9592 0.8300
O9 O 0.7281 0.2875 0.1610
O10 O 0.7281 0.7926 0.1619
O11 O 0.7290 0.4554 0.8277
O12 O 0.7292 0.6249 0.4940
```

Most intense lines, 2θ = 5–70°, low angle first:
hkl 1 0 0, 18.16°, d 4.886, I = 100
hkl 0 2 -2, 35.51°, d 2.528, I = 42
hkl 1 2 1, 43.02°, d 2.102, I = 81
hkl -2 2 1, 47.06°, d 1.931, I = 14
hkl 2 2 1, 56.73°, d 1.623, I = 14
hkl 2 0 3, 62.26°, d 1.491, I = 22
hkl 0 4 -1, 62.66°, d 1.483, I = 15
hkl 1 4 -1, 65.82°, d 1.419, I = 9